For CuH6C4IN2, the PBE geometry in OQMD gives the simulated XRD peak list in this record (Cu Kα).
No peak broadening, texture or thermal motion is included.

Structural model:
a = 7.590 Å, b = 14.153 Å, c = 7.883 Å
α = 90.00°, β = 116.89°, γ = 90.00°
Space group P2_1/c (No. 14)
Symmetry-distinct sites (fractional):
Cu  0.175  0.039  0.023 x4
H  0.132  0.610  0.067 x4
H  0.146  0.518  0.916 x4
H  0.210  0.635  0.887 x4
H  0.300  0.163  0.485 x4
H  0.308  0.232  0.110 x4
H  0.477  0.693  0.804 x4
C  0.215  0.583  0.993 x4
C  0.290  0.144  0.743 x4
C  0.360  0.195  0.627 x4
C  0.416  0.565  0.131 x4
I  0.095  0.640  0.425 x4
N  0.230  0.103  0.835 x4
N  0.422  0.050  0.256 x4

Peak list (10 most intense, 10° ≤ 2θ ≤ 80°, low angle first)
2θ 13.08, d 6.769, intensity 46.6, (1 0 0)
2θ 14.07, d 6.296, intensity 100.0, (0 1 1)
2θ 14.83, d 5.972, intensity 30.4, (1 1 -1)
2θ 22.86, d 3.891, intensity 37.2, (1 1 1)
2θ 23.49, d 3.787, intensity 22.8, (1 1 -2)
2θ 26.67, d 3.343, intensity 22.2, (2 2 -1)
2θ 27.08, d 3.292, intensity 26.6, (2 0 -2)
2θ 28.64, d 3.117, intensity 27.6, (1 4 -1)
2θ 29.07, d 3.071, intensity 18.5, (1 3 1)
2θ 41.61, d 2.170, intensity 26.2, (2 5 0)